[1]
This entry pairs a crystal structure of Y3TeO7 with its calculated XRD peak list. Radiation: Cu Kα (λ = 1.5418 Å). Structure: a GGA-PBE-relaxed structure.
Kinematic intensities with the Lorentz-polarization factor, no thermal factor.

Structural model:
a b c (Å): 6.530 6.530 7.649
angles (deg): 90.00 90.00 109.26
Sites, in units of the cell vectors:
Y: 0.012 0.012 0.000
Y: 0.029 0.501 0.252
Y: 0.499 0.971 0.248
Y: 0.501 0.029 0.748
Y: 0.971 0.499 0.752
Y: 0.988 0.988 0.500
Te: 0.499 0.499 0.500
Te: 0.501 0.501 0.000
O: 0.130 0.870 0.750
O: 0.139 0.861 0.250
O: 0.167 0.418 0.974
O: 0.174 0.428 0.531
O: 0.418 0.167 0.026
O: 0.428 0.174 0.469
O: 0.431 0.569 0.250
O: 0.569 0.431 0.750
O: 0.572 0.826 0.969
O: 0.582 0.833 0.526
O: 0.826 0.572 0.031
O: 0.833 0.582 0.474
O: 0.861 0.139 0.750
O: 0.870 0.130 0.250

Most intense lines, 2θ from 5° to 70°, most intense first:
| d_spacing | 2θ/deg | Rel. int. |
| --- | --- | --- |
| 3.082 | 28.97 | 100.0 |
| 3.106 | 28.74 | 96.3 |
| 1.891 | 48.11 | 79.0 |
| 2.688 | 33.33 | 36.2 |
| 1.625 | 56.64 | 29.0 |
| 1.614 | 57.04 | 24.8 |
| 1.912 | 47.55 | 18.6 |
| 2.662 | 33.66 | 16.8 |
| 1.610 | 57.22 | 12.5 |
| 1.607 | 57.35 | 11.7 |



[2]
This entry pairs a crystal structure of Yb2Te4O11 with its calculated XRD peak list. Radiation: Cu Kα (λ = 1.5418 Å). Structure: a GGA-PBE-relaxed structure.
Kinematic intensities with the Lorentz-polarization factor, no thermal factor.

Structural model:
a b c (Å): 6.740 6.740 16.555
angles (deg): 102.57 102.57 45.42
Sites, in units of the cell vectors:
Yb: 0.121 0.637 0.960
Yb: 0.363 0.879 0.540
Yb: 0.637 0.121 0.460
Yb: 0.879 0.363 0.040
Te: 0.156 0.585 0.623
Te: 0.167 0.589 0.303
Te: 0.411 0.833 0.197
Te: 0.415 0.844 0.877
Te: 0.585 0.156 0.123
Te: 0.589 0.167 0.803
Te: 0.833 0.411 0.697
Te: 0.844 0.415 0.377
O: 0.033 0.833 0.548
O: 0.106 0.197 0.168
O: 0.159 0.841 0.250
O: 0.167 0.967 0.952
O: 0.193 0.316 0.373
O: 0.197 0.106 0.668
O: 0.256 0.328 0.049
O: 0.316 0.193 0.873
O: 0.328 0.256 0.549
O: 0.409 0.542 0.399
O: 0.458 0.591 0.101
O: 0.542 0.409 0.899
O: 0.591 0.458 0.601
O: 0.672 0.744 0.451
O: 0.684 0.807 0.127
O: 0.744 0.672 0.951
O: 0.803 0.894 0.332
O: 0.807 0.684 0.627
O: 0.833 0.033 0.048
O: 0.841 0.159 0.750
O: 0.894 0.803 0.832
O: 0.967 0.167 0.452

Most intense lines, 2θ from 5° to 70°, most intense first:
| d_spacing | 2θ/deg | Rel. int. |
| --- | --- | --- |
| 3.414 | 26.10 | 100.0 |
| 2.995 | 29.83 | 62.6 |
| 3.021 | 29.57 | 30.9 |
| 1.972 | 46.03 | 20.2 |
| 2.698 | 33.20 | 20.0 |
| 1.892 | 48.09 | 18.0 |
| 2.261 | 39.87 | 17.6 |
| 1.873 | 48.61 | 17.1 |
| 2.602 | 34.46 | 15.9 |
| 1.728 | 52.99 | 12.9 |



[3]
This entry pairs a crystal structure of Yb2TeO6 with its calculated XRD peak list. Radiation: Cu Kα (λ = 1.5418 Å). Structure: a GGA-PBE-relaxed structure.
Kinematic intensities with the Lorentz-polarization factor, no thermal factor.

Structural model:
a b c (Å): 9.205 9.205 5.195
angles (deg): 90.00 90.00 120.00
Sites, in units of the cell vectors:
Yb: 0.000 0.284 0.000
Yb: 0.000 0.623 0.500
Yb: 0.284 0.000 0.000
Yb: 0.377 0.377 0.500
Yb: 0.623 0.000 0.500
Yb: 0.716 0.716 0.000
Te: 0.000 0.000 0.500
Te: 0.333 0.667 0.000
Te: 0.667 0.333 0.000
O: 0.079 0.879 0.289
O: 0.121 0.200 0.289
O: 0.134 0.542 0.213
O: 0.200 0.121 0.711
O: 0.224 0.759 0.787
O: 0.241 0.465 0.787
O: 0.408 0.866 0.213
O: 0.458 0.592 0.213
O: 0.465 0.241 0.213
O: 0.535 0.776 0.787
O: 0.542 0.134 0.787
O: 0.592 0.458 0.787
O: 0.759 0.224 0.213
O: 0.776 0.535 0.213
O: 0.800 0.921 0.289
O: 0.866 0.408 0.787
O: 0.879 0.079 0.711
O: 0.921 0.800 0.711

Most intense lines, 2θ from 5° to 70°, most intense first:
| d_spacing | 2θ/deg | Rel. int. |
| --- | --- | --- |
| 3.445 | 25.86 | 100.0 |
| 1.858 | 49.03 | 43.6 |
| 2.657 | 33.73 | 37.3 |
| 3.163 | 28.22 | 37.3 |
| 1.725 | 53.09 | 22.5 |
| 3.013 | 29.65 | 15.1 |
| 2.607 | 34.41 | 14.7 |
| 2.598 | 34.53 | 14.6 |
| 2.104 | 42.99 | 13.4 |
| 1.967 | 46.14 | 12.4 |



[4]
This entry pairs a crystal structure of Zn3TeO6 with its calculated XRD peak list. Radiation: Cu Kα (λ = 1.5418 Å). Structure: a GGA-PBE-relaxed structure.
Kinematic intensities with the Lorentz-polarization factor, no thermal factor.

Structural model:
a b c (Å): 5.576 5.576 5.576
angles (deg): 56.41 56.41 56.41
Sites, in units of the cell vectors:
Zn: 0.000 0.000 0.000
Zn: 0.220 0.220 0.220
Zn: 0.730 0.730 0.730
Te: 0.515 0.515 0.515
O: 0.143 0.412 0.778
O: 0.311 0.893 0.611
O: 0.412 0.778 0.143
O: 0.611 0.311 0.893
O: 0.778 0.143 0.412
O: 0.893 0.611 0.311

Most intense lines, 2θ from 5° to 70°, most intense first:
| d_spacing | 2θ/deg | Rel. int. |
| --- | --- | --- |
| 2.780 | 32.20 | 100.0 |
| 2.635 | 34.02 | 85.6 |
| 1.913 | 47.54 | 40.3 |
| 1.548 | 59.74 | 36.4 |
| 1.748 | 52.33 | 34.0 |
| 1.522 | 60.88 | 29.5 |
| 3.825 | 23.25 | 27.9 |
| 2.295 | 39.25 | 13.9 |
| 4.340 | 20.46 | 11.7 |
| 1.636 | 56.23 | 10.5 |



[5]
This entry pairs a crystal structure of ZnTe2O5 with its calculated XRD peak list. Radiation: Cu Kα (λ = 1.5418 Å). Structure: a GGA-PBE-relaxed structure.
Kinematic intensities with the Lorentz-polarization factor, no thermal factor.

Structural model:
a b c (Å): 7.383 10.931 6.059
angles (deg): 90.00 90.00 90.00
Sites, in units of the cell vectors:
Zn: 0.000 0.059 0.250
Zn: 0.000 0.941 0.750
Zn: 0.500 0.441 0.750
Zn: 0.500 0.559 0.250
Te: 0.136 0.346 0.010
Te: 0.136 0.654 0.510
Te: 0.364 0.154 0.510
Te: 0.364 0.846 0.010
Te: 0.636 0.154 0.990
Te: 0.636 0.846 0.490
Te: 0.864 0.346 0.490
Te: 0.864 0.654 0.990
O: 0.000 0.440 0.250
O: 0.000 0.560 0.750
O: 0.147 0.064 0.545
O: 0.147 0.936 0.045
O: 0.196 0.209 0.188
O: 0.196 0.791 0.688
O: 0.304 0.291 0.688
O: 0.304 0.709 0.188
O: 0.353 0.436 0.045
O: 0.353 0.564 0.545
O: 0.500 0.060 0.750
O: 0.500 0.940 0.250
O: 0.647 0.436 0.455
O: 0.647 0.564 0.955
O: 0.696 0.291 0.812
O: 0.696 0.709 0.312
O: 0.804 0.209 0.312
O: 0.804 0.791 0.812
O: 0.853 0.064 0.955
O: 0.853 0.936 0.455

Most intense lines, 2θ from 5° to 70°, most intense first:
| d_spacing | 2θ/deg | Rel. int. |
| --- | --- | --- |
| 3.557 | 25.04 | 100.0 |
| 3.029 | 29.49 | 84.3 |
| 3.268 | 27.29 | 37.7 |
| 1.797 | 50.82 | 28.6 |
| 2.715 | 32.99 | 23.2 |
| 1.692 | 54.22 | 19.8 |
| 1.577 | 58.55 | 18.0 |
| 1.749 | 52.30 | 16.9 |
| 1.835 | 49.68 | 16.5 |
| 2.222 | 40.61 | 15.9 |



[6]
This entry pairs a crystal structure of ZnTeO4 with its calculated XRD peak list. Radiation: Cu Kα (λ = 1.5418 Å). Structure: a GGA-PBE-relaxed structure.
Kinematic intensities with the Lorentz-polarization factor, no thermal factor.

Structural model:
a b c (Å): 6.675 6.675 5.087
angles (deg): 100.51 100.51 126.02
Sites, in units of the cell vectors:
Zn: 0.246 0.754 0.750
Zn: 0.754 0.246 0.250
Te: 0.072 0.928 0.250
Te: 0.928 0.072 0.750
O: 0.006 0.633 0.338
O: 0.146 0.248 0.161
O: 0.248 0.146 0.661
O: 0.367 0.994 0.162
O: 0.633 0.006 0.838
O: 0.752 0.854 0.339
O: 0.854 0.752 0.839
O: 0.994 0.367 0.662

Most intense lines, 2θ from 5° to 70°, most intense first:
| d_spacing | 2θ/deg | Rel. int. |
| --- | --- | --- |
| 5.028 | 17.64 | 100.0 |
| 3.000 | 29.78 | 64.6 |
| 3.667 | 24.27 | 25.7 |
| 2.402 | 37.44 | 22.6 |
| 2.099 | 43.09 | 20.4 |
| 2.329 | 38.66 | 19.9 |
| 1.800 | 50.73 | 15.7 |
| 2.774 | 32.27 | 14.0 |
| 1.510 | 61.42 | 10.9 |
| 1.547 | 59.76 | 10.7 |



[7]
This entry pairs a crystal structure of ZnTeO4 with its calculated XRD peak list. Radiation: Cu Kα (λ = 1.5418 Å). Structure: a GGA-PBE-relaxed structure.
Kinematic intensities with the Lorentz-polarization factor, no thermal factor.

Structural model:
a b c (Å): 5.236 4.673 5.671
angles (deg): 90.00 90.00 90.00
Sites, in units of the cell vectors:
Zn: 0.000 0.000 0.000
Zn: 0.000 0.500 0.500
Te: 0.500 0.000 0.321
Te: 0.500 0.500 0.821
O: 0.193 0.209 0.287
O: 0.193 0.291 0.787
O: 0.340 0.744 0.559
O: 0.340 0.756 0.059
O: 0.660 0.244 0.059
O: 0.660 0.256 0.559
O: 0.807 0.709 0.787
O: 0.807 0.791 0.287

Most intense lines, 2θ from 5° to 70°, most intense first:
| d_spacing | 2θ/deg | Rel. int. |
| --- | --- | --- |
| 2.970 | 30.09 | 100.0 |
| 3.607 | 24.69 | 45.6 |
| 1.705 | 53.76 | 28.3 |
| 2.493 | 36.02 | 25.0 |
| 1.743 | 52.49 | 19.8 |
| 2.119 | 42.68 | 16.1 |
| 1.571 | 58.77 | 16.0 |
| 2.618 | 34.25 | 15.7 |
| 1.486 | 62.50 | 15.5 |
| 1.752 | 52.20 | 15.4 |